Starting from a structure optimized by DFT (PBE), the XRD peak list of TaNbAl2Pt2 was computed for Cu Ka.
Peak positions follow from Bragg's law for the DFT cell and can differ from measured ones.

Largest 12 diffraction maxima, by intensity, 5° ≤ 2θ ≤ 70°:
d = 2.453 Å, I = 100
d = 3.855 Å, I = 66
d = 1.929 Å, I = 58
d = 2.131 Å, I = 48
d = 2.198 Å, I = 43
d = 2.361 Å, I = 36
d = 6.421 Å, I = 31
d = 2.357 Å, I = 31
d = 2.164 Å, I = 28
d = 2.399 Å, I = 26
d = 5.400 Å, I = 24
d = 2.313 Å, I = 22

Cell and atoms:
Cell: 9.099 2.921 15.657 Å, 90.00 99.98 90.00°
Element x y z (fractional)
Ta 0.000 0.000 0.000
Ta 0.036 0.500 0.630
Ta 0.440 0.500 0.249
Ta 0.882 0.500 0.127
Nb 0.145 0.000 0.499
Nb 0.462 0.000 0.882
Nb 0.571 0.500 0.752
Nb 0.631 0.000 0.377
Al 0.095 0.000 0.821
Al 0.233 0.500 0.100
Al 0.272 0.000 0.352
Al 0.367 0.500 0.603
Al 0.527 0.500 0.072
Al 0.692 0.500 0.561
Al 0.800 0.000 0.848
Al 0.937 0.000 0.316
Pt 0.131 0.000 0.206
Pt 0.244 0.500 0.944
Pt 0.285 0.000 0.716
Pt 0.432 0.500 0.459
Pt 0.676 0.000 0.201
Pt 0.716 0.500 0.963
Pt 0.816 0.000 0.690
Pt 0.884 0.500 0.449



Starting from a structure optimized by DFT (PBE), the XRD peak list of Y2NbAl was computed for Cu Ka.
Peak positions follow from Bragg's law for the DFT cell and can differ from measured ones.

Largest 10 diffraction maxima, by intensity, 5° ≤ 2θ ≤ 70°:
d = 2.523 Å, I = 100
d = 1.457 Å, I = 35
d = 1.784 Å, I = 17
d = 4.120 Å, I = 11
d = 3.568 Å, I = 6
d = 2.152 Å, I = 5
d = 1.596 Å, I = 2
d = 1.637 Å, I = 2
d = 2.060 Å, I = 2
d = 1.373 Å, I = 2

Cell and atoms:
Cell: 5.046 5.046 5.046 Å, 60.00 60.00 60.00°
Element x y z (fractional)
Y 0.000 0.000 0.000
Y 0.250 0.250 0.250
Nb 0.750 0.750 0.750
Al 0.500 0.500 0.500



Starting from a structure optimized by DFT (PBE), the XRD peak list of Nd2Al was computed for Cu Ka.
Peak positions follow from Bragg's law for the DFT cell and can differ from measured ones.

Largest 12 diffraction maxima, by intensity, 5° ≤ 2θ ≤ 70°:
d = 2.795 Å, I = 100
d = 2.729 Å, I = 69
d = 2.626 Å, I = 43
d = 3.180 Å, I = 40
d = 3.824 Å, I = 36
d = 2.839 Å, I = 30
d = 3.995 Å, I = 24
d = 1.588 Å, I = 24
d = 1.912 Å, I = 21
d = 1.535 Å, I = 20
d = 2.194 Å, I = 20
d = 2.968 Å, I = 17

Cell and atoms:
Cell: 6.749 5.253 9.913 Å, 90.00 90.00 90.00°
Element x y z (fractional)
Nd 0.029 0.250 0.203
Nd 0.187 0.250 0.576
Nd 0.313 0.750 0.076
Nd 0.471 0.750 0.703
Nd 0.529 0.250 0.297
Nd 0.687 0.250 0.924
Nd 0.813 0.750 0.424
Nd 0.971 0.750 0.797
Al 0.206 0.250 0.897
Al 0.294 0.750 0.397
Al 0.706 0.250 0.603
Al 0.794 0.750 0.103



Starting from a structure optimized by DFT (PBE), the XRD peak list of Nd2Al2NiPd3 was computed for Cu Ka.
Peak positions follow from Bragg's law for the DFT cell and can differ from measured ones.

Largest 12 diffraction maxima, by intensity, 5° ≤ 2θ ≤ 70°:
d = 2.441 Å, I = 100
d = 2.184 Å, I = 59
d = 3.782 Å, I = 40
d = 1.628 Å, I = 28
d = 3.519 Å, I = 11
d = 1.472 Å, I = 8
d = 1.614 Å, I = 7
d = 1.891 Å, I = 6
d = 2.969 Å, I = 5
d = 1.430 Å, I = 5
d = 1.598 Å, I = 4
d = 2.397 Å, I = 4

Cell and atoms:
Cell: 4.367 4.367 9.589 Å, 90.00 90.00 120.00°
Element x y z (fractional)
Nd 0.000 0.000 0.000
Nd 0.333 0.667 0.489
Al 0.667 0.333 0.236
Al 0.667 0.333 0.745
Ni 0.333 0.667 0.184
Pd 0.000 0.000 0.310
Pd 0.000 0.000 0.673
Pd 0.333 0.667 0.817



Starting from a structure optimized by DFT (PBE), the XRD peak list of NdAlNiPt3 was computed for Cu Ka.
Peak positions follow from Bragg's law for the DFT cell and can differ from measured ones.

Largest 12 diffraction maxima, by intensity, 5° ≤ 2θ ≤ 70°:
d = 2.384 Å, I = 100
d = 3.073 Å, I = 74
d = 2.271 Å, I = 70
d = 2.050 Å, I = 65
d = 1.536 Å, I = 52
d = 4.019 Å, I = 32
d = 2.009 Å, I = 29
d = 1.376 Å, I = 26
d = 1.644 Å, I = 25
d = 1.478 Å, I = 18
d = 4.767 Å, I = 13
d = 1.852 Å, I = 2

Cell and atoms:
Cell: 5.505 5.505 4.019 Å, 90.00 90.00 120.00°
Element x y z (fractional)
Nd 0.000 0.000 0.000
Al 0.333 0.667 0.000
Ni 0.667 0.333 0.000
Pt 0.502 0.003 0.500
Pt 0.502 0.498 0.500
Pt 0.997 0.498 0.500



Starting from a structure optimized by DFT (PBE), the XRD peak list of NdAlPb2O5 was computed for Cu Ka.
Peak positions follow from Bragg's law for the DFT cell and can differ from measured ones.

Largest 12 diffraction maxima, by intensity, 5° ≤ 2θ ≤ 70°:
d = 2.856 Å, I = 100
d = 2.828 Å, I = 45
d = 2.987 Å, I = 42
d = 3.250 Å, I = 26
d = 1.698 Å, I = 26
d = 6.497 Å, I = 24
d = 4.396 Å, I = 21
d = 2.199 Å, I = 20
d = 3.210 Å, I = 16
d = 2.331 Å, I = 13
d = 1.864 Å, I = 13
d = 1.692 Å, I = 12

Cell and atoms:
Cell: 7.433 5.973 7.459 Å, 90.00 119.16 90.00°
Element x y z (fractional)
Nd 0.198 0.000 0.343
Nd 0.802 0.500 0.657
Al 0.151 0.988 0.829
Al 0.849 0.488 0.171
Pb 0.328 0.496 0.651
Pb 0.348 0.496 0.170
Pb 0.652 0.996 0.830
Pb 0.672 0.996 0.349
O 0.091 0.629 0.271
O 0.102 0.697 0.805
O 0.272 0.071 0.684
O 0.306 0.059 0.094
O 0.478 0.277 0.484
O 0.522 0.777 0.516
O 0.694 0.559 0.906
O 0.728 0.571 0.316
O 0.898 0.197 0.195
O 0.909 0.129 0.729



Starting from a structure optimized by DFT (PBE), the XRD peak list of NdAlTe3Pb was computed for Cu Ka.
Peak positions follow from Bragg's law for the DFT cell and can differ from measured ones.

Largest 12 diffraction maxima, by intensity, 5° ≤ 2θ ≤ 70°:
d = 2.871 Å, I = 100
d = 3.195 Å, I = 46
d = 2.847 Å, I = 32
d = 2.267 Å, I = 29
d = 3.501 Å, I = 25
d = 2.831 Å, I = 25
d = 4.489 Å, I = 23
d = 2.370 Å, I = 14
d = 1.873 Å, I = 14
d = 2.058 Å, I = 14
d = 3.359 Å, I = 14
d = 2.252 Å, I = 13

Cell and atoms:
Cell: 7.704 7.704 11.326 Å, 90.00 90.00 145.77°
Element x y z (fractional)
Nd 0.000 0.000 0.000
Nd 0.000 0.000 0.500
Al 0.477 0.523 0.750
Al 0.523 0.477 0.250
Te 0.098 0.902 0.750
Te 0.353 0.647 0.558
Te 0.353 0.647 0.942
Te 0.647 0.353 0.058
Te 0.647 0.353 0.442
Te 0.902 0.098 0.250
Pb 0.209 0.791 0.250
Pb 0.791 0.209 0.750



Starting from a structure optimized by DFT (PBE), the XRD peak list of NdSm2Al2Pd4 was computed for Cu Ka.
Peak positions follow from Bragg's law for the DFT cell and can differ from measured ones.

Largest 12 diffraction maxima, by intensity, 5° ≤ 2θ ≤ 70°:
d = 2.385 Å, I = 100
d = 2.667 Å, I = 95
d = 3.542 Å, I = 93
d = 2.277 Å, I = 70
d = 2.159 Å, I = 69
d = 2.357 Å, I = 45
d = 2.882 Å, I = 27
d = 1.592 Å, I = 26
d = 1.389 Å, I = 25
d = 2.170 Å, I = 22
d = 2.477 Å, I = 21
d = 3.005 Å, I = 18

Cell and atoms:
Cell: 5.571 5.571 8.725 Å, 97.09 97.09 45.60°
Element x y z (fractional)
Nd 0.000 0.000 0.000
Sm 0.376 0.376 0.614
Sm 0.624 0.624 0.386
Al 0.320 0.320 0.214
Al 0.680 0.680 0.786
Pd 0.087 0.087 0.638
Pd 0.281 0.281 0.910
Pd 0.719 0.719 0.090
Pd 0.913 0.913 0.362



Starting from a structure optimized by DFT (PBE), the XRD peak list of NdAl3Pt6 was computed for Cu Ka.
Peak positions follow from Bragg's law for the DFT cell and can differ from measured ones.

Largest 12 diffraction maxima, by intensity, 5° ≤ 2θ ≤ 70°:
d = 2.497 Å, I = 100
d = 2.202 Å, I = 87
d = 2.884 Å, I = 72
d = 1.652 Å, I = 35
d = 2.172 Å, I = 27
d = 1.888 Å, I = 20
d = 3.665 Å, I = 14
d = 2.478 Å, I = 10
d = 2.422 Å, I = 10
d = 2.053 Å, I = 10
d = 2.089 Å, I = 10
d = 1.442 Å, I = 9

Cell and atoms:
Cell: 13.929 13.929 13.929 Å, 31.79 31.79 31.79°
Element x y z (fractional)
Nd 0.084 0.084 0.084
Nd 0.416 0.416 0.416
Nd 0.584 0.584 0.584
Nd 0.916 0.916 0.916
Al 0.040 0.690 0.345
Al 0.155 0.810 0.460
Al 0.190 0.540 0.845
Al 0.310 0.655 0.960
Al 0.345 0.040 0.690
Al 0.460 0.155 0.810
Al 0.540 0.845 0.190
Al 0.655 0.960 0.310
Al 0.690 0.345 0.040
Al 0.810 0.460 0.155
Al 0.845 0.190 0.540
Al 0.960 0.310 0.655
Pt 0.000 0.000 0.000
Pt 0.025 0.383 0.709
Pt 0.037 0.250 0.463
Pt 0.117 0.475 0.791
Pt 0.162 0.162 0.162
Pt 0.209 0.883 0.525
Pt 0.250 0.463 0.037
Pt 0.291 0.975 0.617
Pt 0.338 0.338 0.338
Pt 0.383 0.709 0.025
Pt 0.463 0.037 0.250
Pt 0.475 0.791 0.117
Pt 0.500 0.500 0.500
Pt 0.525 0.209 0.883
Pt 0.537 0.963 0.750
Pt 0.617 0.291 0.975
Pt 0.662 0.662 0.662
Pt 0.709 0.025 0.383
Pt 0.750 0.537 0.963
Pt 0.791 0.117 0.475
Pt 0.838 0.838 0.838
Pt 0.883 0.525 0.209
Pt 0.963 0.750 0.537
Pt 0.975 0.617 0.291



Starting from a structure optimized by DFT (PBE), the XRD peak list of NdYAl2Pt4 was computed for Cu Ka.
Peak positions follow from Bragg's law for the DFT cell and can differ from measured ones.

Largest 12 diffraction maxima, by intensity, 5° ≤ 2θ ≤ 70°:
d = 2.422 Å, I = 100
d = 2.186 Å, I = 56
d = 3.786 Å, I = 44
d = 1.623 Å, I = 30
d = 1.455 Å, I = 8
d = 4.726 Å, I = 7
d = 1.893 Å, I = 7
d = 1.431 Å, I = 6
d = 1.575 Å, I = 5
d = 1.984 Å, I = 5
d = 3.515 Å, I = 4
d = 1.691 Å, I = 3

Cell and atoms:
Cell: 4.372 4.372 9.453 Å, 90.00 90.00 120.00°
Element x y z (fractional)
Nd 0.000 0.000 0.000
Y 0.333 0.667 0.500
Al 0.667 0.333 0.255
Al 0.667 0.333 0.745
Pt 0.000 0.000 0.334
Pt 0.000 0.000 0.666
Pt 0.333 0.667 0.179
Pt 0.333 0.667 0.821



Starting from a structure optimized by DFT (PBE), the XRD peak list of TbNdAl6 was computed for Cu Ka.
Peak positions follow from Bragg's law for the DFT cell and can differ from measured ones.

Largest 12 diffraction maxima, by intensity, 5° ≤ 2θ ≤ 70°:
d = 2.378 Å, I = 100
d = 3.541 Å, I = 99
d = 3.210 Å, I = 49
d = 2.780 Å, I = 26
d = 1.911 Å, I = 25
d = 5.560 Å, I = 24
d = 1.867 Å, I = 21
d = 2.296 Å, I = 21
d = 1.462 Å, I = 19
d = 1.605 Å, I = 18
d = 2.101 Å, I = 14
d = 1.770 Å, I = 13

Cell and atoms:
Cell: 6.420 6.420 4.592 Å, 90.00 90.00 120.00°
Element x y z (fractional)
Tb 0.000 0.000 0.000
Nd 0.667 0.333 0.500
Al 0.048 0.524 0.000
Al 0.188 0.376 0.500
Al 0.188 0.812 0.500
Al 0.476 0.524 0.000
Al 0.476 0.952 0.000
Al 0.624 0.812 0.500



Starting from a structure optimized by DFT (PBE), the XRD peak list of Nd2Tm2Al was computed for Cu Ka.
Peak positions follow from Bragg's law for the DFT cell and can differ from measured ones.

Largest 12 diffraction maxima, by intensity, 5° ≤ 2θ ≤ 70°:
d = 3.170 Å, I = 100
d = 2.833 Å, I = 88
d = 2.147 Å, I = 53
d = 2.650 Å, I = 45
d = 3.494 Å, I = 41
d = 1.668 Å, I = 40
d = 2.619 Å, I = 39
d = 2.557 Å, I = 35
d = 1.403 Å, I = 28
d = 1.598 Å, I = 27
d = 1.851 Å, I = 17
d = 1.517 Å, I = 17

Cell and atoms:
Cell: 6.867 6.867 6.867 Å, 148.74 109.64 78.99°
Element x y z (fractional)
Nd 0.249 0.249 0.000
Nd 0.751 0.751 0.000
Tm 0.202 0.500 0.702
Tm 0.798 0.500 0.298
Al 0.500 0.000 0.500